Simulated X-ray diffraction stick pattern of HoS2O6F2 for λ = 1.5418 Å (Cu Kα), from a DFT-relaxed cell (PBE, Alexandria).
Peak positions follow from Bragg's law for the DFT cell and can differ from measured ones.

Top 8 peaks for 2θ = 15–90°, in order of rising 2θ:
18.0 deg, d = 4.941 Å, rel. 24, (1 0 0)
23.2 deg, d = 3.835 Å, rel. 100, (1 0 1)
31.4 deg, d = 2.852 Å, rel. 33, (1 1 0)
34.7 deg, d = 2.588 Å, rel. 39, (1 0 2)
39.4 deg, d = 2.289 Å, rel. 18, (2 0 1)
47.4 deg, d = 1.917 Å, rel. 17, (2 0 2)
51.2 deg, d = 1.785 Å, rel. 23, (2 1 1)
58.0 deg, d = 1.591 Å, rel. 12, (2 1 2)

Cell and atoms:
Lattice parameters (Å, degrees): 5.7049 5.7049 6.0813 90.00 90.00 120.00
Fractional positions:
1 Ho 0.0000 0.0000 0.0000
2 S 0.3333 0.6667 0.7264
3 S 0.6667 0.3333 0.2736
4 O 0.1904 0.3807 0.8003
5 O 0.1904 0.8096 0.8003
6 O 0.3807 0.1904 0.1997
7 O 0.6193 0.8096 0.8003
8 O 0.8096 0.1904 0.1997
9 O 0.8096 0.6193 0.1997
10 F 0.3333 0.6667 0.4305
11 F 0.6667 0.3333 0.5695